# 1
For Ag2Te2O7, DFT lattice parameters and positions (GGA-PBE) gives the theoretical XRD peak list in this record (Cu Ka).
Lines closer than 0.1° are merged.

abc: 7.417 10.425 7.656
angles: 90.00 90.00 90.00
Space group Imma (No. 74)
Symmetry-distinct sites (fractional):
Ag: 0.000 0.000 0.000 (multiplicity 4)
Ag: 0.250 0.250 0.250 (multiplicity 4)
Te: 0.000 0.000 0.500 (multiplicity 4)
Te: 0.250 0.250 0.750 (multiplicity 4)
O: 0.000 0.085 0.278 (multiplicity 8)
O: 0.000 0.250 0.842 (multiplicity 4)
O: 0.204 0.120 0.570 (multiplicity 16)

Peak list (6 most intense, 2θ from 5° to 70°, sorted by position)
d = 3.085 Å, intensity 100, hkl 0 2 2; d = 3.022 Å, intensity 95, hkl 2 2 0; d = 2.663 Å, intensity 49, hkl 2 0 2; d = 1.863 Å, intensity 55, hkl 2 4 2; d = 1.617 Å, intensity 32, hkl 2 2 4; d = 1.589 Å, intensity 27, hkl 4 2 2


# 2
For Cd3PdAu3, DFT lattice parameters and positions (GGA-PBE) gives the theoretical XRD peak list in this record (Cu Ka).
Lines closer than 0.1° are merged.

abc: 7.863 8.890 8.033
angles: 90.00 90.00 90.00
Space group Cmmm (No. 65)
Symmetry-distinct sites (fractional):
Cd: 0.000 0.226 0.000 (multiplicity 4)
Cd: 0.202 0.500 0.500 (multiplicity 4)
Cd: 0.203 0.500 0.000 (multiplicity 4)
Pd: 0.000 0.235 0.500 (multiplicity 4)
Au: 0.000 0.000 0.260 (multiplicity 4)
Au: 0.250 0.250 0.255 (multiplicity 8)

Peak list (6 most intense, 2θ from 5° to 70°, sorted by position)
d = 3.318 Å, intensity 14, hkl 1 1 2; d = 2.375 Å, intensity 100, hkl 2 2 2; d = 2.222 Å, intensity 21, hkl 0 4 0; d = 2.008 Å, intensity 16, hkl 0 0 4; d = 1.965 Å, intensity 14, hkl 4 0 0; d = 1.490 Å, intensity 12, hkl 0 4 4


# 3
For Ba2Li3, DFT lattice parameters and positions (GGA-PBE) gives the theoretical XRD peak list in this record (Cu Ka).
Lines closer than 0.1° are merged.

abc: 6.469 12.370 9.636
angles: 90.00 90.00 90.00
Space group Cmce (No. 64)
Symmetry-distinct sites (fractional):
Ba: 0.000 0.163 0.099 (multiplicity 8)
Li: 0.000 0.000 0.500 (multiplicity 4)
Li: 0.250 0.088 0.750 (multiplicity 8)

Peak list (6 most intense, 2θ from 5° to 70°, sorted by position)
d = 5.205 Å, intensity 40, hkl 0 2 1; d = 4.926 Å, intensity 49, hkl 1 1 1; d = 3.688 Å, intensity 100, hkl 1 1 2; d = 3.271 Å, intensity 77, hkl 1 3 1; d = 3.234 Å, intensity 26, hkl 2 0 0; d = 2.850 Å, intensity 31, hkl 0 2 3